Entry 1:
Theoretical powder X-ray diffraction pattern of Pt3Rh4 for Cu Kα (λ = 1.5418 Å), from a crystal structure in Alexandria, relaxed with GGA-PBE.

Largest 10 diffraction maxima, sorted by position, 10 to 90 degrees two-theta:
2θ 40.07, rel. 100
2θ 46.56, rel. 32
2θ 46.69, rel. 16
2θ 67.85, rel. 5
2θ 68.07, rel. 26
2θ 81.85, rel. 12
2θ 82.03, rel. 19
2θ 82.14, rel. 6
2θ 86.39, rel. 5
2θ 86.60, rel. 6

Atomic structure:
```
Pt3Rh4
1.0
-1.3773 1.9454 9.6690
1.3773 -1.9454 9.6690
1.3773 1.9454 -9.6690
Pt Rh
3 4
direct
0.0000 0.0000 0.0000 Pt
0.1439 0.1439 0.0000 Pt
0.4257 0.4257 0.0000 Pt
0.2848 0.2848 0.0000 Rh
0.5723 0.5723 0.0000 Rh
0.7155 0.7155 0.0000 Rh
0.8534 0.8534 0.0000 Rh
```


Entry 2:
Theoretical powder X-ray diffraction pattern of Pt3Rh5 for Cu Kα (λ = 1.5418 Å), from a crystal structure in Alexandria, relaxed with GGA-PBE.

Largest 10 diffraction maxima, sorted by position, 10 to 90 degrees two-theta:
2θ 37.85, rel. 25
2θ 39.76, rel. 28
2θ 42.96, rel. 100
2θ 56.02, rel. 10
2θ 68.35, rel. 17
2θ 74.34, rel. 13
2θ 74.45, rel. 6
2θ 82.02, rel. 10
2θ 82.15, rel. 10
2θ 84.22, rel. 14

Atomic structure:
```
Pt3Rh5
1.0
5.3056 -4.7546 0.0000
5.3056 4.7546 0.0000
-2.4557 0.0000 4.6915
Pt Rh
6 10
direct
0.0415 0.9585 0.7500 Pt
0.1677 0.5803 0.4953 Pt
0.4197 0.8323 0.0047 Pt
0.5803 0.1677 0.9953 Pt
0.8323 0.4197 0.5047 Pt
0.9585 0.0415 0.2500 Pt
0.0832 0.6657 0.0039 Rh
0.2093 0.2944 0.7540 Rh
0.2944 0.2093 0.2540 Rh
0.3343 0.9168 0.4961 Rh
0.4580 0.5420 0.2500 Rh
0.5420 0.4580 0.7500 Rh
0.6657 0.0832 0.5039 Rh
0.7056 0.7907 0.7460 Rh
0.7907 0.7056 0.2460 Rh
0.9168 0.3343 0.9961 Rh
```


Entry 3:
Theoretical powder X-ray diffraction pattern of Pt7Rh5 for Cu Kα (λ = 1.5418 Å), from a crystal structure in Alexandria, relaxed with GGA-PBE.

Largest 10 diffraction maxima, sorted by position, 10 to 90 degrees two-theta:
2θ 39.79, rel. 100
2θ 39.90, rel. 99
2θ 46.34, rel. 97
2θ 67.45, rel. 11
2θ 67.60, rel. 32
2θ 67.74, rel. 21
2θ 81.26, rel. 7
2θ 81.32, rel. 13
2θ 81.47, rel. 38
2θ 81.60, rel. 19

Atomic structure:
```
Pt7Rh5
1.0
4.7939 0.0000 0.0000
2.3868 4.1576 0.0000
0.7922 1.3538 9.0573
Pt Rh
7 5
direct
0.0000 0.0000 0.0000 Pt
0.9998 0.2535 0.2488 Pt
0.0002 0.7465 0.7512 Pt
0.3335 0.0841 0.7522 Pt
0.3349 0.8305 0.4997 Pt
0.6651 0.1695 0.5003 Pt
0.6666 0.9159 0.2478 Pt
0.0000 0.5000 0.5000 Rh
0.3333 0.5830 0.2470 Rh
0.3347 0.3352 0.0006 Rh
0.6653 0.6648 0.9994 Rh
0.6667 0.4170 0.7530 Rh
```